Record 1
Calculated X-ray diffraction stick pattern
Compound: Li3V3Fe2O10
Radiation: CuKα
Structure: a cell relaxed with GGA+U

Atomic structure:
```
Li3V3Fe2O10
1.0
5.1350 0.0000 0.0000
1.0326 5.1172 0.0000
2.4400 2.0126 7.3083
Li V Fe O
3 3 2 10
Direct
0.0000 0.0000 0.0000
0.3112 0.5177 0.9074
0.6888 0.4823 0.0926
0.1873 0.0033 0.6131
0.5000 0.5000 0.5000
0.8127 0.9967 0.3869
0.3993 0.9963 0.1880
0.6007 0.0037 0.8120
0.0157 0.1935 0.1785
0.1677 0.7880 0.4483
0.2852 0.2526 0.7219
0.3838 0.7758 0.0290
0.4582 0.2172 0.3679
0.5418 0.7828 0.6321
0.6162 0.2242 0.9710
0.7148 0.7474 0.2781
0.8323 0.2120 0.5517
0.9843 0.8065 0.8215
```

Main lines, by intensity (10° ≤ 2θ ≤ 90°):
d_spacing	I_rel
4.934	100
2.193	48
2.116	46
2.069	45
7.308	43
4.856	37
3.980	24
1.479	24
2.992	19
3.400	16



Record 2
Calculated X-ray diffraction stick pattern
Compound: Li2VFe3O8
Radiation: CuKα
Structure: a cell relaxed with GGA+U

Atomic structure:
```
Li2VFe3O8
1.0
2.9681 -5.0751 0.0000
2.9681 5.0751 0.0000
0.0000 0.0000 9.4263
Li V Fe O
4 2 6 16
Direct
0.9998 0.0002 0.0000
0.0002 0.9998 0.5000
0.3334 0.6666 0.5919
0.6666 0.3334 0.0919
0.3337 0.6663 0.9942
0.6663 0.3337 0.4942
0.1696 0.3452 0.2728
0.1742 0.8258 0.2768
0.3452 0.1696 0.7728
0.6548 0.8304 0.2728
0.8258 0.1742 0.7768
0.8304 0.6548 0.7728
0.0040 0.9960 0.1911
0.0413 0.5300 0.1463
0.1669 0.3510 0.9010
0.1731 0.8269 0.9018
0.3326 0.6674 0.3858
0.3510 0.1669 0.4010
0.4700 0.9587 0.1463
0.4777 0.5223 0.1390
0.5223 0.4777 0.6390
0.5300 0.0413 0.6463
0.6490 0.8331 0.9010
0.6674 0.3326 0.8858
0.8269 0.1731 0.4018
0.8331 0.6490 0.4010
0.9587 0.4700 0.6463
0.9960 0.0040 0.6911
```

Main lines, by intensity (10° ≤ 2θ ≤ 90°):
d_spacing	I_rel
4.502	100
4.713	91
1.986	64
2.472	58
2.676	57
4.469	47
1.518	42
2.494	41
2.251	38
1.470	38



Record 3
Calculated X-ray diffraction stick pattern
Compound: Li2V3FeO8
Radiation: CuKα
Structure: a cell relaxed with GGA+U

Atomic structure:
```
Li2V3FeO8
1.0
2.9520 -5.1425 0.0000
2.9520 5.1425 0.0000
-0.1815 0.0000 9.6021
Li V Fe O
4 6 2 16
Direct
0.0018 0.9982 0.5000
0.3320 0.6676 0.6016
0.6676 0.3320 0.1016
0.9982 0.0018 0.0000
0.1686 0.8258 0.2789
0.1741 0.3440 0.2854
0.3440 0.1741 0.7854
0.6598 0.8243 0.2785
0.8243 0.6598 0.7785
0.8258 0.1686 0.7789
0.3334 0.6733 0.0017
0.6733 0.3334 0.5017
0.0402 0.5305 0.1592
0.1570 0.3271 0.8934
0.1565 0.8339 0.8911
0.3271 0.1570 0.3934
0.3479 0.6903 0.3950
0.4803 0.9613 0.1574
0.4910 0.5298 0.1585
0.5305 0.0402 0.6592
0.5298 0.4910 0.6585
0.6707 0.8381 0.8920
0.6903 0.3479 0.8950
0.8339 0.1565 0.3911
0.8381 0.6707 0.3920
0.9613 0.4803 0.6574
0.9918 0.9971 0.6852
0.9971 0.9918 0.1852
```

Main lines, by intensity (10° ≤ 2θ ≤ 90°):
d_spacing	I_rel
4.542	100
4.801	82
4.487	54
2.484	46
2.534	42
1.482	42
2.512	30
2.005	28
2.015	27
1.983	27



Record 4
Calculated X-ray diffraction stick pattern
Compound: Li2V3FeO8
Radiation: CuKα
Structure: a cell relaxed with GGA+U

Atomic structure:
```
Li2V3FeO8
1.0
8.4199 0.0000 0.0000
0.0000 8.4199 0.0000
0.0000 0.0000 8.5291
Li V Fe O
8 12 4 32
Direct
0.0038 0.2472 0.3771
0.2472 0.0038 0.6229
0.2528 0.5038 0.1271
0.4962 0.7472 0.3729
0.5038 0.2528 0.8729
0.7472 0.4962 0.6271
0.7528 0.9962 0.1229
0.9962 0.7528 0.8771
0.1211 0.6261 0.5008
0.1261 0.3789 0.7508
0.1314 0.1314 0.0000
0.3686 0.6314 0.7500
0.3739 0.8789 0.9992
0.3789 0.1261 0.2492
0.6211 0.8739 0.7492
0.6261 0.1211 0.4992
0.6314 0.3686 0.2500
0.8686 0.8686 0.5000
0.8739 0.6211 0.2508
0.8789 0.3739 0.0008
0.1255 0.8745 0.2500
0.3745 0.3745 0.5000
0.6255 0.6255 0.0000
0.8745 0.1255 0.7500
0.1060 0.6300 0.2640
0.1112 0.1410 0.7623
0.1181 0.3758 0.9833
0.1180 0.8502 0.4890
0.1242 0.6181 0.7333
0.1300 0.3940 0.5140
0.1410 0.1112 0.2377
0.1498 0.8820 0.0110
0.3502 0.3820 0.7390
0.3590 0.6112 0.5123
0.3700 0.8940 0.2360
0.3758 0.1181 0.0167
0.3820 0.3502 0.2610
0.3819 0.8758 0.7667
0.3888 0.6410 0.9877
0.3940 0.1300 0.4860
0.6060 0.8700 0.9860
0.6112 0.3590 0.4877
0.6181 0.1242 0.2667
0.6180 0.6498 0.7610
0.6242 0.8819 0.5167
0.6300 0.1060 0.7360
0.6410 0.3888 0.0123
0.6498 0.6180 0.2390
0.8502 0.1180 0.5110
0.8590 0.8888 0.7377
0.8700 0.6060 0.0140
0.8758 0.3819 0.2333
0.8820 0.1498 0.9890
0.8819 0.6242 0.4833
0.8888 0.8590 0.2623
0.8940 0.3700 0.7640
```

Main lines, by intensity (10° ≤ 2θ ≤ 90°):
d_spacing	I_rel
4.882	100
2.105	38
2.542	32
1.498	23
2.132	20
2.566	15
1.621	12
1.488	11
1.220	9
2.441	8



Record 5
Calculated X-ray diffraction stick pattern
Compound: Li5V2Fe3O10
Radiation: CuKα
Structure: a cell relaxed with GGA+U

Atomic structure:
```
Li5V2Fe3O10
1.0
5.1659 0.0000 0.0000
-0.8709 5.1378 0.0000
-2.5607 -2.1181 7.0772
Li V Fe O
5 2 3 10
Direct
0.0000 0.0000 0.0000
0.1858 0.4968 0.9067
0.3921 0.4933 0.2853
0.6079 0.5067 0.7147
0.8142 0.5032 0.0933
0.4089 0.0142 0.8190
0.5911 0.9858 0.1810
0.0000 0.5000 0.5000
0.1987 0.9961 0.3911
0.8013 0.0039 0.6089
0.0142 0.7644 0.7435
0.1950 0.2270 0.6482
0.2184 0.7688 0.1600
0.4054 0.2361 0.0428
0.4085 0.7800 0.5645
0.5915 0.2200 0.4355
0.5946 0.7639 0.9572
0.7816 0.2312 0.8400
0.8050 0.7730 0.3518
0.9858 0.2356 0.2565
```

Main lines, by intensity (10° ≤ 2θ ≤ 90°):
d_spacing	I_rel
2.107	100
4.922	69
2.115	53
7.077	53
4.861	24
3.381	19
1.486	16
2.528	16
1.502	15
3.949	15